Structure and theoretical XRD peak list of Sm3Co4Sn13 (a DFT-relaxed cell (GGA-PBE, the Materials Project); a wavelength of 1.5418 Å).

Top 10 peaks for 2θ = 10–80°, by angle:
d 2.663, 2θ 33.65, I 100; d 2.566, 2θ 34.96, I 36; d 2.401, 2θ 37.46, I 18; d 2.329, 2θ 38.66, I 12; d 1.960, 2θ 46.32, I 12; d 1.647, 2θ 55.83, I 13; d 1.558, 2θ 59.33, I 17; d 1.500, 2θ 61.87, I 7; d 1.448, 2θ 64.36, I 9; d 1.372, 2θ 68.39, I 11

Structure:
abc: 9.6022 9.6022 9.6022
angles: 90.00 90.00 90.00
Sites, in units of the cell vectors:
Sm  0.0000  0.2500  0.5000
Sm  0.0000  0.7500  0.5000
Sm  0.2500  0.5000  0.0000
Sm  0.5000  0.0000  0.2500
Sm  0.5000  0.0000  0.7500
Sm  0.7500  0.5000  0.0000
Co  0.2500  0.2500  0.2500
Co  0.2500  0.2500  0.7500
Co  0.2500  0.7500  0.2500
Co  0.2500  0.7500  0.7500
Co  0.7500  0.2500  0.2500
Co  0.7500  0.2500  0.7500
Co  0.7500  0.7500  0.2500
Co  0.7500  0.7500  0.7500
Sn  0.0000  0.0000  0.0000
Sn  0.0000  0.3033  0.1574
Sn  0.0000  0.3033  0.8426
Sn  0.0000  0.6967  0.1574
Sn  0.0000  0.6967  0.8426
Sn  0.1574  0.0000  0.3033
Sn  0.1574  0.0000  0.6967
Sn  0.1967  0.5000  0.3426
Sn  0.1967  0.5000  0.6574
Sn  0.3033  0.1574  0.0000
Sn  0.3033  0.8426  0.0000
Sn  0.3426  0.1967  0.5000
Sn  0.3426  0.8033  0.5000
Sn  0.5000  0.3426  0.1967
Sn  0.5000  0.3426  0.8033
Sn  0.5000  0.5000  0.5000
Sn  0.5000  0.6574  0.1967
Sn  0.5000  0.6574  0.8033
Sn  0.6574  0.1967  0.5000
Sn  0.6574  0.8033  0.5000
Sn  0.6967  0.1574  0.0000
Sn  0.6967  0.8426  0.0000
Sn  0.8033  0.5000  0.3426
Sn  0.8033  0.5000  0.6574
Sn  0.8426  0.0000  0.3033
Sn  0.8426  0.0000  0.6967

***

Structure and theoretical XRD peak list of Sr3Cr2N4 (a DFT-relaxed cell (GGA-PBE, the Materials Project); a wavelength of 1.5418 Å).

Top 10 peaks for 2θ = 10–80°, by angle:
d 3.029, 2θ 29.48, I 58; d 2.870, 2θ 31.16, I 100; d 2.631, 2θ 34.07, I 38; d 2.431, 2θ 36.98, I 16; d 2.181, 2θ 41.40, I 29; d 2.171, 2θ 41.61, I 26; d 2.156, 2θ 41.90, I 31; d 1.998, 2θ 45.40, I 21; d 1.913, 2θ 47.54, I 11; d 1.778, 2θ 51.40, I 16

Structure:
abc: 7.1252 7.1252 5.6044
angles: 93.44 93.44 75.08
Sites, in units of the cell vectors:
Sr  0.1020  0.8980  0.7500
Sr  0.2473  0.5071  0.4479
Sr  0.4929  0.7527  0.0521
Sr  0.5071  0.2473  0.9479
Sr  0.7527  0.4929  0.5521
Sr  0.8980  0.1020  0.2500
Cr  0.0819  0.3342  0.9224
Cr  0.3342  0.0819  0.4224
Cr  0.6658  0.9181  0.5776
Cr  0.9181  0.6658  0.0776
N  0.1321  0.2250  0.6134
N  0.1855  0.5552  0.9764
N  0.2250  0.1321  0.1134
N  0.4448  0.8145  0.5236
N  0.5552  0.1855  0.4764
N  0.7750  0.8679  0.8866
N  0.8145  0.4448  0.0236
N  0.8679  0.7750  0.3866

***

Structure and theoretical XRD peak list of SbTeI3F6 (a DFT-relaxed cell (GGA-PBE, the Materials Project); a wavelength of 1.5418 Å).

Top 10 peaks for 2θ = 10–80°, by angle:
d 4.437, 2θ 20.01, I 100; d 4.291, 2θ 20.70, I 51; d 3.947, 2θ 22.52, I 77; d 3.685, 2θ 24.15, I 49; d 3.627, 2θ 24.54, I 42; d 3.507, 2θ 25.40, I 37; d 3.348, 2θ 26.63, I 44; d 2.805, 2θ 31.91, I 33; d 2.121, 2θ 42.63, I 25; d 2.073, 2θ 43.66, I 39

Structure:
abc: 8.7066 10.9102 13.4234
angles: 90.00 99.74 90.00
Sites, in units of the cell vectors:
Sb  0.1840  0.2235  0.0778
Sb  0.1840  0.2765  0.5778
Sb  0.8160  0.7235  0.4222
Sb  0.8160  0.7765  0.9222
Te  0.1823  0.6762  0.6958
Te  0.1823  0.8238  0.1958
Te  0.8177  0.1762  0.8042
Te  0.8177  0.3238  0.3042
I  0.2196  0.5901  0.2622
I  0.2196  0.9099  0.7622
I  0.2794  0.5466  0.8663
I  0.2794  0.9534  0.3663
I  0.4352  0.6636  0.6032
I  0.4352  0.8364  0.1032
I  0.5648  0.1636  0.8968
I  0.5648  0.3364  0.3968
I  0.7206  0.0466  0.6337
I  0.7206  0.4534  0.1337
I  0.7804  0.0901  0.2378
I  0.7804  0.4099  0.7378
F  0.0203  0.7392  0.9971
F  0.0203  0.7608  0.4971
F  0.1107  0.0620  0.1067
F  0.1107  0.4380  0.6067
F  0.1194  0.2148  0.6988
F  0.1194  0.2852  0.1988
F  0.2400  0.1616  0.9543
F  0.2400  0.3384  0.4543
F  0.2573  0.1165  0.5491
F  0.2573  0.3835  0.0491
F  0.3861  0.1829  0.1499
F  0.3861  0.3171  0.6499
F  0.6139  0.6829  0.3501
F  0.6139  0.8171  0.8501
F  0.7427  0.6165  0.9509
F  0.7427  0.8835  0.4509
F  0.7600  0.6616  0.5457
F  0.7600  0.8384  0.0457
F  0.8806  0.7148  0.8012
F  0.8806  0.7852  0.3012
F  0.8893  0.5620  0.3933
F  0.8893  0.9380  0.8933
F  0.9797  0.2392  0.5029
F  0.9797  0.2608  0.0029

***

Structure and theoretical XRD peak list of NaHfNbSnO6 (a DFT-relaxed cell (GGA-PBE, the Materials Project); a wavelength of 1.5418 Å).

Top 10 peaks for 2θ = 10–80°, by angle:
d 4.710, 2θ 18.84, I 23; d 4.079, 2θ 21.79, I 22; d 2.884, 2θ 31.01, I 100; d 2.460, 2θ 36.53, I 14; d 2.039, 2θ 44.42, I 33; d 1.871, 2θ 48.65, I 7; d 1.824, 2θ 50.00, I 8; d 1.665, 2θ 55.16, I 41; d 1.442, 2θ 64.63, I 20; d 1.290, 2θ 73.41, I 18

Structure:
abc: 5.7683 5.7683 5.7683
angles: 60.00 60.00 60.00
Sites, in units of the cell vectors:
Na  0.0000  0.0000  0.0000
Hf  0.2500  0.2500  0.2500
Nb  0.7500  0.7500  0.7500
Sn  0.5000  0.5000  0.5000
O  0.5039  0.5039  0.9961
O  0.5039  0.9961  0.5039
O  0.5039  0.9961  0.9961
O  0.9961  0.5039  0.5039
O  0.9961  0.5039  0.9961
O  0.9961  0.9961  0.5039

***

- Which formula does entry 1 have?
  Sm3Co4Sn13